This entry pairs a crystal structure of Y3ReB7 with its theoretical X-ray diffraction stick pattern. Radiation: a wavelength of 1.5418 Å. Structure: a cell relaxed with GGA-PBE.
Lines closer than 0.1° are merged.

Structural model:
abc: 3.6743 15.0848 10.0809
angles: 90.00 90.00 90.00
Space group Cmcm (No. 63)
Symmetry-distinct sites (fractional):
Y 0.0000 0.0275 0.2500
Y 0.0000 0.1657 0.5572
Re 0.0000 0.2233 0.2500
B 0.0000 0.3455 0.6605
B 0.0000 0.3793 0.2500
B 0.0000 0.4468 0.1157
B 0.0000 0.4500 0.5541

Top 6 peaks for 2θ = 15–90°, by angle:
d (Å)	intensity	(hkl)
3.365	37.4	1 1 1
3.069	39.1	0 2 3
3.020	54.3	0 4 2
2.447	100.0	1 1 3
2.332	30.7	1 5 0
2.272	47.1	1 5 1

***

This entry pairs a crystal structure of Y2ReB6 with its theoretical X-ray diffraction stick pattern. Radiation: a wavelength of 1.5418 Å. Structure: a cell relaxed with GGA-PBE.
Lines closer than 0.1° are merged.

Structural model:
abc: 9.1934 11.5818 3.6866
angles: 90.00 90.00 90.00
Space group Pbam (No. 55)
Symmetry-distinct sites (fractional):
Y 0.0570 0.1297 0.0000
Y 0.1765 0.4140 0.0000
Re 0.1384 0.6792 0.0000
B 0.0177 0.2881 0.5000
B 0.0532 0.5673 0.5000
B 0.1005 0.9718 0.5000
B 0.1307 0.8141 0.5000
B 0.2084 0.2344 0.5000
B 0.2484 0.5817 0.5000

Top 6 peaks for 2θ = 15–90°, by angle:
d (Å)	intensity	(hkl)
3.687	100.0	0 0 1
2.960	55.1	3 1 0
2.762	38.4	1 4 0
2.308	71.9	3 1 1
2.210	49.7	1 4 1
2.011	31.6	3 3 1

***

This entry pairs a crystal structure of Zr9Re4B with its theoretical X-ray diffraction stick pattern. Radiation: a wavelength of 1.5418 Å. Structure: a cell relaxed with GGA-PBE.
Lines closer than 0.1° are merged.

Structural model:
abc: 8.4901 8.4901 8.7187
angles: 90.00 90.00 120.00
Space group P6_3/mmc (No. 194)
Symmetry-distinct sites (fractional):
Zr 0.0778 0.5389 0.2500
Zr 0.2016 0.4032 0.5537
Re 0.0000 0.0000 0.0000
Re 0.1076 0.2152 0.2500
B 0.3333 0.6667 0.7500

Top 6 peaks for 2θ = 15–90°, by angle:
d (Å)	intensity	(hkl)
2.703	18.2	1 0 3
2.359	71.6	3 0 1
2.343	100.0	2 1 2
2.280	34.7	2 0 3
2.180	18.1	0 0 4
1.421	25.0	3 0 5

***

This entry pairs a crystal structure of B4Rh5 with its theoretical X-ray diffraction stick pattern. Radiation: a wavelength of 1.5418 Å. Structure: a cell relaxed with GGA-PBE.
Lines closer than 0.1° are merged.

Structural model:
abc: 3.3359 3.3359 20.6234
angles: 90.00 90.00 120.00
Space group P6_3/mmc (No. 194)
Symmetry-distinct sites (fractional):
B 0.3333 0.6667 0.0863
B 0.3333 0.6667 0.1964
Rh 0.0000 0.0000 0.1478
Rh 0.3333 0.6667 0.5477
Rh 0.3333 0.6667 0.7500

Top 6 peaks for 2θ = 15–90°, by angle:
d (Å)	intensity	(hkl)
2.520	100.0	1 0 4
2.366	85.7	1 0 5
2.212	55.8	1 0 6
2.062	35.8	0 0 10
1.668	60.8	1 1 0
1.297	42.8	1 1 10

***

This entry pairs a crystal structure of BRh with its theoretical X-ray diffraction stick pattern. Radiation: a wavelength of 1.5418 Å. Structure: a cell relaxed with GGA-PBE.
Lines closer than 0.1° are merged.

Structural model:
abc: 3.3770 3.3770 4.1946
angles: 90.00 90.00 120.00
Space group P6_3/mmc (No. 194)
Symmetry-distinct sites (fractional):
B 0.0000 0.0000 0.0000
Rh 0.3333 0.6667 0.2500

Top 6 peaks for 2θ = 15–90°, by angle:
d (Å)	intensity	(hkl)
2.925	20.5	1 0 0
2.399	100.0	1 0 1
1.704	14.7	1 0 2
1.688	25.3	1 1 0
1.381	16.9	2 0 1
1.315	16.7	1 1 2

***

This entry pairs a crystal structure of BRh with its theoretical X-ray diffraction stick pattern. Radiation: a wavelength of 1.5418 Å. Structure: a cell relaxed with GGA-PBE.
Lines closer than 0.1° are merged.

Structural model:
abc: 2.9819 2.9819 5.5556
angles: 90.00 90.00 120.00
Space group P6_3/mmc (No. 194)
Symmetry-distinct sites (fractional):
B 0.3333 0.6667 0.2500
Rh 0.0000 0.0000 0.0000

Top 6 peaks for 2θ = 15–90°, by angle:
d (Å)	intensity	(hkl)
2.778	37.5	0 0 2
2.582	100.0	1 0 0
1.891	90.6	1 0 2
1.491	21.7	1 1 0
1.314	21.9	1 1 2
1.223	18.4	1 0 4

***

This entry pairs a crystal structure of B11Rh18 with its theoretical X-ray diffraction stick pattern. Radiation: a wavelength of 1.5418 Å. Structure: a cell relaxed with GGA-PBE.
Lines closer than 0.1° are merged.

Structural model:
abc: 5.5354 6.9195 9.1949
angles: 110.86 94.54 90.43
Space group P1 (No. 1)
Symmetry-distinct sites (fractional):
B 0.0000 0.0000 0.0000
B 0.0354 0.7547 0.6227
B 0.1104 0.4759 0.0364
B 0.2275 0.1380 0.5402
B 0.3701 0.4213 0.3600
B 0.4787 0.1460 0.8723
B 0.5542 0.6096 0.7552
B 0.6660 0.3352 0.2702
B 0.8064 0.6113 0.0835
B 0.8626 0.8515 0.2685
B 0.9254 0.2815 0.5936
Rh 0.0579 0.5747 0.2986
Rh 0.1206 0.1948 0.7797
Rh 0.1671 0.8230 0.1264
Rh 0.2482 0.4756 0.5837
Rh 0.2744 0.8518 0.8374
Rh 0.2933 0.2320 0.0944
Rh 0.3554 0.8566 0.5434
Rh 0.4412 0.5229 0.9438
Rh 0.4757 0.1205 0.3579
Rh 0.5528 0.6359 0.2685
Rh 0.5907 0.2329 0.6841
Rh 0.6706 0.9038 0.0824
Rh 0.7405 0.5234 0.5350
Rh 0.7567 0.9037 0.7876
Rh 0.7855 0.2782 0.0432
Rh 0.8658 0.9385 0.5051
Rh 0.9131 0.5627 0.8486
Rh 0.9722 0.1785 0.3324

Top 6 peaks for 2θ = 15–90°, by angle:
d (Å)	intensity	(hkl)
2.663	69.8	0 2 -3
2.423	64.9	-2 1 1
2.321	58.6	0 1 3
2.230	52.3	2 0 2
2.152	100.0	0 3 0
2.139	57.6	2 -2 0

***

This entry pairs a crystal structure of B3Rh7 with its theoretical X-ray diffraction stick pattern. Radiation: a wavelength of 1.5418 Å. Structure: a cell relaxed with GGA-PBE.
Lines closer than 0.1° are merged.

Structural model:
abc: 7.5164 7.5164 4.8905
angles: 90.00 90.00 120.00
Space group P6_3mc (No. 186)
Symmetry-distinct sites (fractional):
B 0.1884 0.3768 0.0000
Rh 0.0883 0.5441 0.7512
Rh 0.1228 0.2456 0.3896
Rh 0.3333 0.6667 0.2431

Top 6 peaks for 2θ = 15–90°, by angle:
d (Å)	intensity	(hkl)
2.460	25.6	2 1 0
2.445	17.3	0 0 2
2.289	25.1	1 0 2
2.198	100.0	2 1 1
1.303	19.5	3 0 3
1.258	15.9	5 0 1

***

This entry pairs a crystal structure of Sc5BRh15 with its theoretical X-ray diffraction stick pattern. Radiation: a wavelength of 1.5418 Å. Structure: a cell relaxed with GGA-PBE.
Lines closer than 0.1° are merged.

Structural model:
abc: 4.0263 4.0263 19.5190
angles: 90.00 90.00 90.00
Space group P4/mmm (No. 123)
Symmetry-distinct sites (fractional):
Sc 0.0000 0.0000 0.0000
Sc 0.0000 0.0000 0.1994
Sc 0.0000 0.0000 0.3959
B 0.5000 0.5000 0.5000
Rh 0.0000 0.5000 0.0987
Rh 0.0000 0.5000 0.2965
Rh 0.0000 0.5000 0.5000
Rh 0.5000 0.5000 0.0000
Rh 0.5000 0.5000 0.1959
Rh 0.5000 0.5000 0.3925

Top 6 peaks for 2θ = 15–90°, by angle:
d (Å)	intensity	(hkl)
2.300	100.0	1 1 5
2.013	34.2	2 0 0
1.952	14.8	0 0 10
1.423	10.8	2 2 0
1.401	19.4	2 0 10
1.210	24.2	3 1 5

***

This entry pairs a crystal structure of ScBRh3 with its theoretical X-ray diffraction stick pattern. Radiation: a wavelength of 1.5418 Å. Structure: a cell relaxed with GGA-PBE.
Lines closer than 0.1° are merged.

Structural model:
abc: 4.1304 4.1304 4.1304
angles: 90.00 90.00 90.00
Space group Pm-3m (No. 221)
Symmetry-distinct sites (fractional):
Sc 0.0000 0.0000 0.0000
B 0.5000 0.5000 0.5000
Rh 0.0000 0.5000 0.5000

Top 6 peaks for 2θ = 15–90°, by angle:
d (Å)	intensity	(hkl)
4.130	12.6	1 0 0
2.385	100.0	1 1 1
2.065	52.8	2 0 0
1.460	33.4	2 2 0
1.245	35.9	3 1 1
1.192	11.2	2 2 2